1.
For MgCrSiO5, the GGA+U geometry in the Materials Project gives the theoretical PXRD pattern in this record (Cu Ka).
Intensities are scaled so that the largest is 100.

Principal peaks in the range 2θ = 10–90°, sorted by position:
- 18.4°, I = 43
- 28.1°, I = 100
- 30.2°, I = 59
- 35.6°, I = 42
- 35.7°, I = 45
- 55.4°, I = 20
- 57.2°, I = 26
- 64.0°, I = 19

a b c (Å): 5.3040 5.3040 6.9235
angles (deg): 104.98 104.98 104.22
Fractional coordinates of all 16 atoms:
Mg 0.1714 0.8286 0.7500
Mg 0.8286 0.1714 0.2500
Cr 0.5000 0.5000 0.0000
Cr 0.5000 0.5000 0.5000
Si 0.1767 0.8233 0.2500
Si 0.8233 0.1767 0.7500
O 0.1393 0.2232 0.9055
O 0.1748 0.6062 0.3782
O 0.2232 0.1393 0.4055
O 0.3938 0.8252 0.1218
O 0.4193 0.5807 0.7500
O 0.5807 0.4193 0.2500
O 0.6062 0.1748 0.8782
O 0.7768 0.8607 0.5945
O 0.8252 0.3938 0.6218
O 0.8607 0.7768 0.0945

2.
For Mg5CrSi4O18, the GGA+U geometry in the Materials Project gives the theoretical PXRD pattern in this record (Cu Ka).
Intensities are scaled so that the largest is 100.

Principal peaks in the range 2θ = 10–90°, sorted by position:
- 12.0°, I = 100
- 18.1°, I = 83
- 19.4°, I = 20
- 20.1°, I = 23
- 22.7°, I = 19
- 24.2°, I = 66
- 36.9°, I = 20
- 38.3°, I = 19

a b c (Å): 5.3336 5.3692 29.4802
angles (deg): 90.28 90.33 119.55
Fractional coordinates of all 56 atoms:
Mg 0.0000 0.0000 0.0000
Mg 0.9995 0.3610 0.5002
Mg 0.3230 0.0088 0.5003
Mg 0.3225 0.6750 0.9999
Mg 0.3308 0.3492 0.7517
Mg 0.6469 0.6566 0.5004
Mg 0.6479 0.3534 0.0002
Mg 0.6487 0.0297 0.2485
Mg 0.9889 0.6999 0.7518
Mg 0.9946 0.6837 0.2488
Cr 0.2567 0.2916 0.2542
Cr 0.5995 0.9550 0.7476
Si 0.3234 0.3373 0.4057
Si 0.3235 0.0103 0.0944
Si 0.3241 0.6795 0.5948
Si 0.3253 0.3411 0.9055
Si 0.6563 0.6750 0.0946
Si 0.6577 0.3449 0.5948
Si 0.9897 0.6719 0.4059
Si 0.9921 0.6769 0.9055
O 0.0170 0.3449 0.2851
O 0.0243 0.0629 0.2148
O 0.1358 0.0086 0.8869
O 0.1363 0.4846 0.3871
O 0.1736 0.0033 0.3876
O 0.1817 0.5318 0.8872
O 0.3111 0.0519 0.2846
O 0.3168 0.6750 0.5390
O 0.3187 0.0051 0.0386
O 0.3291 0.3456 0.9613
O 0.3301 0.3420 0.4616
O 0.3377 0.6576 0.2223
O 0.3556 0.0134 0.7177
O 0.3700 0.7308 0.7867
O 0.4803 0.0131 0.6129
O 0.4800 0.8330 0.1133
O 0.5024 0.3432 0.1128
O 0.5035 0.5248 0.6137
O 0.6084 0.6434 0.2776
O 0.6238 0.3723 0.2221
O 0.6399 0.7124 0.7156
O 0.6523 0.6709 0.0387
O 0.6531 0.3452 0.5390
O 0.6553 0.5228 0.3868
O 0.6582 0.4851 0.8868
O 0.6696 0.0240 0.9712
O 0.6728 0.0079 0.4714
O 0.6792 0.3399 0.7798
O 0.9411 0.3111 0.7240
O 0.9580 0.0438 0.7788
O 0.9735 0.0098 0.5293
O 0.9778 0.3290 0.0291
O 0.9907 0.8539 0.1131
O 0.9919 0.5009 0.6139
O 0.9941 0.6728 0.4616
O 0.9942 0.6823 0.9613

Q: Which formula does entry 1 have?
A: MgCrSiO5